Record 1
# SmBeOs
Simulated powder X-ray diffraction pattern, copper Kα. Input: a structure optimized by DFT (GGA-PBE).
Lines closer than 0.1° are merged.

Structural model:
abc: 10.5344 4.2684 4.7413
angles: 90.00 90.00 90.00
Sites, in units of the cell vectors:
Sm: 0.2101 0.2500 0.1166
Sm: 0.2899 0.7500 0.6166
Sm: 0.7101 0.2500 0.3834
Sm: 0.7899 0.7500 0.8834
Be: 0.0461 0.7500 0.8969
Be: 0.4539 0.2500 0.3969
Be: 0.5461 0.7500 0.6031
Be: 0.9539 0.2500 0.1031
Os: 0.0188 0.2500 0.6239
Os: 0.4812 0.7500 0.1239
Os: 0.5188 0.2500 0.8761
Os: 0.9812 0.7500 0.3761

Top 10 peaks for 10 to 90 degrees two-theta, most intense first:
Position (°2θ)	intensity
32.96	100
44.56	50
31.71	48
20.54	35
42.35	33
34.04	32
62.90	31
38.23	26
29.40	25
26.89	24



Record 2
# Y3TmGe4
Simulated powder X-ray diffraction pattern, copper Kα. Input: a structure optimized by DFT (GGA-PBE).
Lines closer than 0.1° are merged.

Structural model:
abc: 8.6973 8.6973 8.6973
angles: 153.20 137.30 51.13
Sites, in units of the cell vectors:
Y: 0.0000 0.0000 0.0000
Y: 0.3045 0.8045 0.5000
Y: 0.6955 0.1955 0.5000
Tm: 0.5000 0.5000 0.0000
Ge: 0.0641 0.3693 0.6948
Ge: 0.3254 0.6307 0.6948
Ge: 0.6746 0.3693 0.3052
Ge: 0.9359 0.6307 0.3052

Top 10 peaks for 10 to 90 degrees two-theta, most intense first:
Position (°2θ)	intensity
28.61	100
36.48	50
40.11	41
34.92	37
44.97	31
46.34	29
22.77	26
69.44	24
31.82	23
59.22	21



Record 3
# Np4Ge12Pt
Simulated powder X-ray diffraction pattern, copper Kα. Input: a structure optimized by DFT (GGA-PBE).
Lines closer than 0.1° are merged.

Structural model:
abc: 7.5057 7.5057 7.5057
angles: 109.47 109.47 109.47
Sites, in units of the cell vectors:
Np: 0.0000 0.0000 0.5000
Np: 0.0000 0.5000 0.0000
Np: 0.5000 0.0000 0.0000
Np: 0.5000 0.5000 0.5000
Ge: 0.0000 0.2952 0.2952
Ge: 0.0000 0.7048 0.7048
Ge: 0.2500 0.5000 0.7500
Ge: 0.2500 0.7500 0.5000
Ge: 0.2952 0.0000 0.2952
Ge: 0.2952 0.2952 0.0000
Ge: 0.5000 0.2500 0.7500
Ge: 0.5000 0.7500 0.2500
Ge: 0.7048 0.0000 0.7048
Ge: 0.7048 0.7048 0.0000
Ge: 0.7500 0.2500 0.5000
Ge: 0.7500 0.5000 0.2500
Pt: 0.0000 0.0000 0.0000

Top 10 peaks for 10 to 90 degrees two-theta, most intense first:
Position (°2θ)	intensity
35.89	100
29.14	77
41.69	76
60.42	46
72.32	32
51.67	27
83.46	20
68.47	20
20.49	19
38.88	16



Record 4
# Ac4Pm2Pr3
Simulated powder X-ray diffraction pattern, copper Kα. Input: a structure optimized by DFT (GGA-PBE).
Lines closer than 0.1° are merged.

Structural model:
abc: 3.8295 3.8295 28.4572
angles: 90.00 90.00 120.00
Sites, in units of the cell vectors:
Ac: 0.0000 0.0000 0.0000
Ac: 0.0000 0.0000 0.2205
Ac: 0.3333 0.6667 0.3381
Ac: 0.3333 0.6667 0.5601
Pm: 0.0000 0.0000 0.6678
Pm: 0.0000 0.0000 0.8736
Pr: 0.0000 0.0000 0.4481
Pr: 0.3333 0.6667 0.1085
Pr: 0.3333 0.6667 0.7732

Top 10 peaks for 10 to 90 degrees two-theta, most intense first:
Position (°2θ)	intensity
31.21	100
29.72	93
28.22	55
26.88	52
56.16	49
47.48	44
39.37	36
52.83	24
49.92	19
57.92	18



Record 5
# In2CoHg
Simulated powder X-ray diffraction pattern, copper Kα. Input: a structure optimized by DFT (GGA-PBE).
Lines closer than 0.1° are merged.

Structural model:
abc: 6.9994 6.9994 6.9994
angles: 155.77 143.44 44.35
Sites, in units of the cell vectors:
In: 0.0000 0.0000 0.0000
In: 0.6839 0.1839 0.5000
Co: 0.1741 0.6741 0.5000
Hg: 0.3595 0.3595 0.0000

Top 10 peaks for 10 to 90 degrees two-theta, most intense first:
Position (°2θ)	intensity
28.99	100
39.43	99
41.11	36
41.81	30
31.22	27
69.64	27
46.57	26
37.00	25
46.73	20
60.08	20



Record 6
# AcHoZr2
Simulated powder X-ray diffraction pattern, copper Kα. Input: a structure optimized by DFT (GGA-PBE).
Lines closer than 0.1° are merged.

Structural model:
abc: 12.0560 12.0560 12.0560
angles: 16.12 16.12 16.12
Sites, in units of the cell vectors:
Ac: 0.0000 0.0000 0.0000
Ho: 0.5000 0.5000 0.5000
Zr: 0.0920 0.0920 0.0920
Zr: 0.9080 0.9080 0.9080

Top 10 peaks for 10 to 90 degrees two-theta, most intense first:
Position (°2θ)	intensity
30.95	100
39.82	72
30.05	48
36.71	41
14.89	36
63.28	35
54.26	32
32.17	28
30.64	22
65.81	18



Record 7
# NaHg2Br4
Simulated powder X-ray diffraction pattern, copper Kα. Input: a structure optimized by DFT (GGA-PBE).
Lines closer than 0.1° are merged.

Structural model:
abc: 8.3836 8.3838 9.9794
angles: 107.11 100.27 115.83
Sites, in units of the cell vectors:
Na: 0.0000 0.0000 0.0000
Na: 0.4785 0.4787 0.9999
Hg: 0.3665 0.9431 0.8302
Hg: 0.4975 0.4745 0.4923
Hg: 0.6756 0.0292 0.2272
Hg: 0.9318 0.4649 0.9177
Br: 0.0551 0.2433 0.8193
Br: 0.4199 0.1775 0.1189
Br: 0.4382 0.7453 0.2563
Br: 0.5205 0.2157 0.7327
Br: 0.5749 0.7843 0.8799
Br: 0.9091 0.7009 0.1322
Br: 0.9894 0.2952 0.2572
Br: 0.9967 0.6919 0.7328

Top 10 peaks for 10 to 90 degrees two-theta, most intense first:
Position (°2θ)	intensity
19.93	100
25.27	99
16.57	97
18.63	78
12.54	77
36.34	59
26.36	58
33.53	54
40.51	52
28.12	41



Record 8
# TmMg14Hg
Simulated powder X-ray diffraction pattern, copper Kα. Input: a structure optimized by DFT (GGA-PBE).
Lines closer than 0.1° are merged.

Structural model:
abc: 6.7208 6.7208 8.2774
angles: 90.00 90.00 90.00
Sites, in units of the cell vectors:
Tm: 0.0000 0.0000 0.0000
Mg: 0.0000 0.0000 0.5000
Mg: 0.0000 0.5000 0.0000
Mg: 0.0000 0.5000 0.5000
Mg: 0.2553 0.2553 0.2512
Mg: 0.2553 0.2553 0.7488
Mg: 0.2553 0.7447 0.2512
Mg: 0.2553 0.7447 0.7488
Mg: 0.5000 0.0000 0.0000
Mg: 0.5000 0.0000 0.5000
Mg: 0.5000 0.5000 0.5000
Mg: 0.7447 0.2553 0.2512
Mg: 0.7447 0.2553 0.7488
Mg: 0.7447 0.7447 0.2512
Mg: 0.7447 0.7447 0.7488
Hg: 0.5000 0.5000 0.0000

Top 10 peaks for 10 to 90 degrees two-theta, most intense first:
Position (°2θ)	intensity
34.38	100
21.54	74
10.69	68
28.64	60
18.67	41
37.86	38
43.97	29
66.15	29
59.21	20
26.52	18



Repeat the second record exactly.
# Y3TmGe4
Simulated powder X-ray diffraction pattern, copper Kα. Input: a structure optimized by DFT (GGA-PBE).
Lines closer than 0.1° are merged.

Structural model:
abc: 8.6973 8.6973 8.6973
angles: 153.20 137.30 51.13
Sites, in units of the cell vectors:
Y: 0.0000 0.0000 0.0000
Y: 0.3045 0.8045 0.5000
Y: 0.6955 0.1955 0.5000
Tm: 0.5000 0.5000 0.0000
Ge: 0.0641 0.3693 0.6948
Ge: 0.3254 0.6307 0.6948
Ge: 0.6746 0.3693 0.3052
Ge: 0.9359 0.6307 0.3052

Top 10 peaks for 10 to 90 degrees two-theta, most intense first:
Position (°2θ)	intensity
28.61	100
36.48	50
40.11	41
34.92	37
44.97	31
46.34	29
22.77	26
69.44	24
31.82	23
59.22	21



Repeat the seventh record exactly.
# NaHg2Br4
Simulated powder X-ray diffraction pattern, copper Kα. Input: a structure optimized by DFT (GGA-PBE).
Lines closer than 0.1° are merged.

Structural model:
abc: 8.3836 8.3838 9.9794
angles: 107.11 100.27 115.83
Sites, in units of the cell vectors:
Na: 0.0000 0.0000 0.0000
Na: 0.4785 0.4787 0.9999
Hg: 0.3665 0.9431 0.8302
Hg: 0.4975 0.4745 0.4923
Hg: 0.6756 0.0292 0.2272
Hg: 0.9318 0.4649 0.9177
Br: 0.0551 0.2433 0.8193
Br: 0.4199 0.1775 0.1189
Br: 0.4382 0.7453 0.2563
Br: 0.5205 0.2157 0.7327
Br: 0.5749 0.7843 0.8799
Br: 0.9091 0.7009 0.1322
Br: 0.9894 0.2952 0.2572
Br: 0.9967 0.6919 0.7328

Top 10 peaks for 10 to 90 degrees two-theta, most intense first:
Position (°2θ)	intensity
19.93	100
25.27	99
16.57	97
18.63	78
12.54	77
36.34	59
26.36	58
33.53	54
40.51	52
28.12	41